The following is a simulated powder XRD pattern of BaGeN3. It was derived from a cell relaxed with GGA-PBE, using Cu Kα (λ = 1.5418 Å).
No peak broadening, texture or thermal motion is included.

Crystal structure
a b c (Å): 3.4449 4.8265 10.3022
angles (deg): 90.00 94.23 90.00
Element x y z (fractional)
Ba1 0.0711 0.2500 0.2736
Ba2 0.9289 0.7500 0.7264
Ge1 0.4900 0.2500 0.9472
Ge2 0.5100 0.7500 0.0528
N1 0.0310 0.7500 0.1472
N2 0.2844 0.7500 0.4966
N3 0.4897 0.7500 0.4124
N4 0.5103 0.2500 0.5876
N5 0.7156 0.2500 0.5034
N6 0.9690 0.2500 0.8528

Peak list (10 most intense, 10° ≤ 2θ ≤ 90°, low angle first)
| d/Å | two_theta | intensity | index |
| --- | --- | --- | --- |
| 4.368 | 20.33 | 52 | 0 1 1 |
| 3.518 | 25.32 | 31 | 0 1 2 |
| 2.958 | 30.21 | 57 | 1 0 -2 |
| 2.793 | 32.04 | 100 | 0 1 3 |
| 2.763 | 32.40 | 32 | 1 0 2 |
| 2.743 | 32.65 | 37 | 1 1 -1 |
| 2.660 | 33.69 | 44 | 1 1 1 |
| 2.413 | 37.26 | 47 | 0 2 0 |
| 1.870 | 48.69 | 29 | 1 2 -2 |
| 1.706 | 53.72 | 26 | 1 1 -5 |